Record 1
Simulated X-ray diffraction stick pattern of Pr3Nd3Ho2 for Cu Kα (weighted mean of Kα1 and Kα2), from a DFT-relaxed cell (GGA-PBE, Alexandria).

Peak list (12 most intense, 2θ from 5° to 70°, by intensity)
31.2°, I 100; 30.5°, I 30; 29.3°, I 21; 54.7°, I 21; 33.7°, I 18; 42.9°, I 15; 53.2°, I 11; 56.7°, I 9; 46.5°, I 8; 65.1°, I 8; 63.4°, I 6; 55.9°, I 6

Crystal structure
```
data_Pr3Nd3Ho2
_chemical_formula_sum 'Pr3 Nd3 Ho2'
_cell_length_a 8.878
_cell_length_b 8.878
_cell_length_c 6.091
_cell_angle_alpha 110.02
_cell_angle_beta 110.02
_cell_angle_gamma 38.49
_space_group_name_H-M_alt 'P 1'
_space_group_IT_number 1
_space_group_name_Hall 'P 1'
loop_
_atom_site_label
_atom_site_fract_x
_atom_site_fract_y
_atom_site_fract_z
Pr1 0.000 0.000 0.000
Pr2 0.135 0.135 0.691
Pr3 0.865 0.865 0.309
Nd1 0.365 0.365 0.920
Nd2 0.500 0.500 0.500
Nd3 0.635 0.635 0.080
Ho1 0.250 0.250 0.318
Ho2 0.750 0.750 0.682
```

***

Record 2
Simulated X-ray diffraction stick pattern of Pm3Cd2 for Cu Kα (weighted mean of Kα1 and Kα2), from a DFT-relaxed cell (GGA-PBE, Alexandria).

Peak list (12 most intense, 2θ from 5° to 70°, by intensity)
32.1°, I 100; 33.6°, I 52; 59.1°, I 35; 48.2°, I 19; 56.3°, I 12; 35.3°, I 9; 67.2°, I 7; 43.9°, I 6; 60.3°, I 6; 29.3°, I 6; 61.1°, I 3; 48.5°, I 3

Crystal structure
```
data_Pm3Cd2
_chemical_formula_sum 'Pm6 Cd4'
_cell_length_a 3.777
_cell_length_b 3.777
_cell_length_c 20.632
_cell_angle_alpha 90.00
_cell_angle_beta 90.00
_cell_angle_gamma 90.00
_space_group_name_H-M_alt 'P 1'
_space_group_IT_number 1
_space_group_name_Hall 'P 1'
loop_
_atom_site_label
_atom_site_fract_x
_atom_site_fract_y
_atom_site_fract_z
Pm1 0.000 0.000 0.000
Pm2 0.000 0.000 0.189
Pm3 0.000 0.000 0.379
Pm4 0.000 0.000 0.621
Pm5 0.000 0.000 0.811
Pm6 0.500 0.500 0.500
Cd1 0.500 0.500 0.095
Cd2 0.500 0.500 0.285
Cd3 0.500 0.500 0.715
Cd4 0.500 0.500 0.905
```

***

Record 3
Simulated X-ray diffraction stick pattern of Nd3Er4Tm3 for Cu Kα (weighted mean of Kα1 and Kα2), from a DFT-relaxed cell (GGA-PBE, Alexandria).

Peak list (12 most intense, 2θ from 5° to 70°, by intensity)
32.4°, I 100; 30.2°, I 33; 30.1°, I 33; 31.0°, I 32; 59.3°, I 19; 49.8°, I 12; 39.1°, I 11; 55.9°, I 9; 56.0°, I 9; 58.8°, I 8; 58.6°, I 8; 34.4°, I 7

Crystal structure
```
data_Nd3Er4Tm3
_chemical_formula_sum 'Nd3 Er4 Tm3'
_cell_length_a 3.664
_cell_length_b 9.377
_cell_length_c 9.377
_cell_angle_alpha 89.62
_cell_angle_beta 90.00
_cell_angle_gamma 90.00
_space_group_name_H-M_alt 'P 1'
_space_group_IT_number 1
_space_group_name_Hall 'P 1'
loop_
_atom_site_label
_atom_site_fract_x
_atom_site_fract_y
_atom_site_fract_z
Nd1 0.000 0.000 0.000
Nd2 0.000 0.498 0.846
Nd3 0.000 0.846 0.498
Er1 0.500 0.052 0.301
Er2 0.500 0.301 0.052
Er3 0.500 0.546 0.546
Er4 0.500 0.798 0.798
Tm1 0.000 0.347 0.347
Tm2 0.500 0.175 0.666
Tm3 0.500 0.666 0.175
```

***

Record 4
Simulated X-ray diffraction stick pattern of SrO10 for Cu Kα (weighted mean of Kα1 and Kα2), from a DFT-relaxed cell (GGA-PBE, Alexandria).

Peak list (12 most intense, 2θ from 5° to 70°, by intensity)
16.2°, I 100; 30.1°, I 68; 34.4°, I 45; 39.3°, I 44; 14.9°, I 38; 22.1°, I 30; 26.8°, I 25; 47.8°, I 20; 51.5°, I 15; 46.4°, I 14; 61.7°, I 13; 54.9°, I 13

Crystal structure
```
data_SrO10
_chemical_formula_sum 'Sr2 O20'
_cell_length_a 5.929
_cell_length_b 5.929
_cell_length_c 10.950
_cell_angle_alpha 90.00
_cell_angle_beta 90.00
_cell_angle_gamma 90.00
_space_group_name_H-M_alt 'P 1'
_space_group_IT_number 1
_space_group_name_Hall 'P 1'
loop_
_atom_site_label
_atom_site_fract_x
_atom_site_fract_y
_atom_site_fract_z
Sr1 0.000 0.000 0.000
Sr2 0.000 0.000 0.500
O1 0.003 0.393 0.097
O2 0.003 0.393 0.903
O3 0.003 0.607 0.403
O4 0.003 0.607 0.597
O5 0.393 0.003 0.403
O6 0.393 0.003 0.597
O7 0.393 0.997 0.097
O8 0.393 0.997 0.903
O9 0.500 0.500 0.056
O10 0.500 0.500 0.444
O11 0.500 0.500 0.556
O12 0.500 0.500 0.944
O13 0.607 0.003 0.097
O14 0.607 0.003 0.903
O15 0.607 0.997 0.403
O16 0.607 0.997 0.597
O17 0.997 0.393 0.403
O18 0.997 0.393 0.597
O19 0.997 0.607 0.097
O20 0.997 0.607 0.903
```

***

Record 5
Simulated X-ray diffraction stick pattern of Dy2GaPt5 for Cu Kα (weighted mean of Kα1 and Kα2), from a DFT-relaxed cell (GGA-PBE, Alexandria).

Peak list (12 most intense, 2θ from 5° to 70°, by intensity)
37.4°, I 100; 43.4°, I 35; 63.2°, I 19; 43.6°, I 15; 63.0°, I 11; 18.4°, I 5; 35.8°, I 3; 35.7°, I 3; 30.3°, I 3; 21.4°, I 3; 66.3°, I 2; 47.6°, I 2

Crystal structure
```
data_Dy2GaPt5
_chemical_formula_sum 'Dy2 Ga1 Pt5'
_cell_length_a 5.888
_cell_length_b 5.888
_cell_length_c 5.888
_cell_angle_alpha 119.82
_cell_angle_beta 119.82
_cell_angle_gamma 90.30
_space_group_name_H-M_alt 'P 1'
_space_group_IT_number 1
_space_group_name_Hall 'P 1'
loop_
_atom_site_label
_atom_site_fract_x
_atom_site_fract_y
_atom_site_fract_z
Dy1 0.000 0.500 0.500
Dy2 0.500 0.000 0.500
Ga1 0.416 0.416 0.000
Pt1 0.504 0.504 0.518
Pt2 0.504 0.986 0.000
Pt3 0.986 0.504 0.000
Pt4 0.986 0.986 0.482
Pt5 0.999 0.999 0.000
```

***

Record 6
Simulated X-ray diffraction stick pattern of Ac3Pr8Er for Cu Kα (weighted mean of Kα1 and Kα2), from a DFT-relaxed cell (GGA-PBE, Alexandria).

Peak list (12 most intense, 2θ from 5° to 70°, by intensity)
29.5°, I 100; 28.6°, I 50; 29.4°, I 39; 33.3°, I 34; 28.5°, I 34; 34.7°, I 32; 33.6°, I 25; 56.0°, I 23; 32.3°, I 22; 22.7°, I 19; 23.5°, I 18; 55.8°, I 16

Crystal structure
```
data_Ac3Pr8Er
_chemical_formula_sum 'Ac3 Pr8 Er1'
_cell_length_a 9.313
_cell_length_b 9.313
_cell_length_c 9.313
_cell_angle_alpha 137.37
_cell_angle_beta 117.83
_cell_angle_gamma 78.31
_space_group_name_H-M_alt 'P 1'
_space_group_IT_number 1
_space_group_name_Hall 'P 1'
loop_
_atom_site_label
_atom_site_fract_x
_atom_site_fract_y
_atom_site_fract_z
Ac1 0.000 0.000 0.000
Ac2 0.131 0.631 0.500
Ac3 0.869 0.369 0.500
Pr1 0.145 0.154 0.711
Pr2 0.241 0.767 0.210
Pr3 0.443 0.233 0.474
Pr4 0.443 0.434 0.289
Pr5 0.557 0.031 0.790
Pr6 0.557 0.846 0.991
Pr7 0.759 0.969 0.526
Pr8 0.855 0.566 0.009
Er1 0.500 0.500 0.000
```

***

Record 7
Simulated X-ray diffraction stick pattern of ScGa4Ni4 for Cu Kα (weighted mean of Kα1 and Kα2), from a DFT-relaxed cell (GGA-PBE, Alexandria).

Peak list (12 most intense, 2θ from 5° to 70°, by intensity)
47.0°, I 100; 36.4°, I 67; 40.6°, I 55; 42.2°, I 51; 16.1°, I 36; 56.9°, I 35; 33.1°, I 17; 52.9°, I 14; 60.5°, I 9; 52.4°, I 7; 68.3°, I 7; 69.5°, I 6

Crystal structure
```
data_ScGa4Ni4
_chemical_formula_sum 'Sc1 Ga4 Ni4'
_cell_length_a 5.918
_cell_length_b 5.918
_cell_length_c 5.918
_cell_angle_alpha 97.52
_cell_angle_beta 97.52
_cell_angle_gamma 137.58
_space_group_name_H-M_alt 'P 1'
_space_group_IT_number 1
_space_group_name_Hall 'P 1'
loop_
_atom_site_label
_atom_site_fract_x
_atom_site_fract_y
_atom_site_fract_z
Sc1 0.000 0.000 0.000
Ga1 0.256 0.632 0.888
Ga2 0.368 0.256 0.624
Ga3 0.632 0.744 0.376
Ga4 0.744 0.368 0.112
Ni1 0.078 0.369 0.447
Ni2 0.369 0.922 0.290
Ni3 0.631 0.078 0.710
Ni4 0.922 0.631 0.553
```

***

Record 8
Simulated X-ray diffraction stick pattern of Cs2InCuI6 for Cu Kα (weighted mean of Kα1 and Kα2), from a DFT-relaxed cell (GGA-PBE, Alexandria).

Peak list (12 most intense, 2θ from 5° to 70°, by intensity)
30.4°, I 100; 26.2°, I 93; 43.5°, I 73; 51.5°, I 42; 53.9°, I 25; 69.6°, I 17; 21.3°, I 13; 15.0°, I 12; 63.2°, I 12; 34.0°, I 6; 37.4°, I 6; 58.7°, I 3

Crystal structure
```
data_Cs2InCuI6
_chemical_formula_sum 'Cs2 In1 Cu1 I6'
_cell_length_a 8.328
_cell_length_b 8.328
_cell_length_c 8.328
_cell_angle_alpha 60.00
_cell_angle_beta 60.00
_cell_angle_gamma 60.00
_space_group_name_H-M_alt 'P 1'
_space_group_IT_number 1
_space_group_name_Hall 'P 1'
loop_
_atom_site_label
_atom_site_fract_x
_atom_site_fract_y
_atom_site_fract_z
Cs1 0.250 0.250 0.250
Cs2 0.750 0.750 0.750
In1 0.000 0.000 0.000
Cu1 0.500 0.500 0.500
I1 0.257 0.257 0.743
I2 0.257 0.743 0.257
I3 0.257 0.743 0.743
I4 0.743 0.257 0.257
I5 0.743 0.257 0.743
I6 0.743 0.743 0.257
```

***

Record 9
Simulated X-ray diffraction stick pattern of BC3 for Cu Kα (weighted mean of Kα1 and Kα2), from a DFT-relaxed cell (GGA-PBE, Alexandria).

Peak list (11 most intense, 2θ from 5° to 70°, by intensity)
42.5°, I 100; 42.2°, I 30; 26.4°, I 7; 22.8°, I 4; 18.1°, I 2; 24.3°, I 1; 36.6°, I 1; 30.0°, I 1; 33.6°, I 1; 62.3°, I 1; 64.9°, I 1

Crystal structure
```
data_BC3
_chemical_formula_sum 'B3 C9'
_cell_length_a 3.748
_cell_length_b 4.505
_cell_length_c 5.171
_cell_angle_alpha 73.30
_cell_angle_beta 89.95
_cell_angle_gamma 65.65
_space_group_name_H-M_alt 'P 1'
_space_group_IT_number 1
_space_group_name_Hall 'P 1'
loop_
_atom_site_label
_atom_site_fract_x
_atom_site_fract_y
_atom_site_fract_z
B1 0.000 0.000 0.000
B2 0.024 0.056 0.483
B3 0.113 0.448 0.885
C1 0.102 0.396 0.399
C2 0.354 0.383 0.162
C3 0.354 0.388 0.642
C4 0.443 0.714 0.567
C5 0.445 0.716 0.071
C6 0.665 0.723 0.816
C7 0.688 0.716 0.320
C8 0.743 0.058 0.237
C9 0.743 0.058 0.729
```

***

Which formula does entry 6 have? Ac3Pr8Er